This entry pairs a crystal structure of Pm2PdRu with its theoretical XRD peak list. Radiation: CuKα. Structure: a cell relaxed with GGA-PBE.
Neutral-atom scattering factors, no anomalous dispersion.

Most intense lines, 2θ from 15° to 90°, in order of rising 2θ:
Position (°2θ)	I/Imax
25.12	3
35.82	100
51.55	18
64.36	36
75.90	11
86.88	16

Cell and atoms:
Unit cell a=5.014 b=5.014 c=5.014 alpha=60.00 beta=60.00 gamma=60.00
Sites, in units of the cell vectors:
Pm (0.250, 0.250, 0.250)
Pm (0.750, 0.750, 0.750)
Pd (0.000, 0.000, 0.000)
Ru (0.500, 0.500, 0.500)